No. 1
Simulated powder diffraction line list of NaCd2F5 for Cu Kα (λ = 1.5418 Å), from a crystal structure in Alexandria, relaxed with PBE.

Atomic structure:
Unit cell a=6.137 b=6.137 c=11.283 alpha=90.00 beta=90.00 gamma=138.75
Positions (direct):
Na1 0.189 0.811 0.750
Na2 0.811 0.189 0.250
Cd1 0.137 0.863 0.066
Cd2 0.137 0.863 0.434
Cd3 0.863 0.137 0.566
Cd4 0.863 0.137 0.934
F1 0.050 0.950 0.612
F2 0.050 0.950 0.888
F3 0.218 0.782 0.250
F4 0.301 0.699 0.566
F5 0.301 0.699 0.934
F6 0.699 0.301 0.066
F7 0.699 0.301 0.434
F8 0.782 0.218 0.750
F9 0.950 0.050 0.112
F10 0.950 0.050 0.388

The 8 most intense peaks (10 to 80 degrees two-theta), most intense first:
d (Å), I_rel
4.046, 100
3.146, 76
5.641, 62
2.868, 52
1.786, 35
2.161, 31
2.755, 30
5.119, 29

=====

No. 2
Simulated powder diffraction line list of Nb4Ir3Pt for Cu Kα (λ = 1.5418 Å), from a crystal structure in Alexandria, relaxed with PBE.

Atomic structure:
Unit cell a=4.888 b=2.860 c=9.459 alpha=90.00 beta=101.14 gamma=90.00
Positions (direct):
Nb1 0.000 0.000 0.000
Nb2 0.247 0.000 0.745
Nb3 0.500 0.000 0.500
Nb4 0.753 0.000 0.255
Ir1 0.000 0.500 0.500
Ir2 0.250 0.500 0.249
Ir3 0.750 0.500 0.751
Pt1 0.500 0.500 0.000

The 8 most intense peaks (10 to 80 degrees two-theta), most intense first:
d (Å), I_rel
2.319, 100
2.024, 33
1.415, 21
1.980, 16
1.218, 13
1.217, 13
3.960, 10
2.862, 10

=====

No. 3
Simulated powder diffraction line list of LaScBr for Cu Kα (λ = 1.5418 Å), from a crystal structure in Alexandria, relaxed with PBE.

Atomic structure:
Unit cell a=6.951 b=6.951 c=6.951 alpha=48.54 beta=48.54 gamma=48.54
Positions (direct):
La1 0.000 0.000 0.000
La2 0.500 0.500 0.500
Sc1 0.190 0.190 0.190
Sc2 0.810 0.810 0.810
Br1 0.336 0.336 0.336
Br2 0.664 0.664 0.664

The 8 most intense peaks (10 to 80 degrees two-theta), most intense first:
d (Å), I_rel
2.857, 100
2.088, 70
3.059, 35
1.452, 21
3.365, 19
1.650, 19
4.356, 17
1.294, 14

=====

No. 4
Simulated powder diffraction line list of Nb2CuSb2 for Cu Kα (λ = 1.5418 Å), from a crystal structure in Alexandria, relaxed with PBE.

Atomic structure:
Unit cell a=7.324 b=7.324 c=3.749 alpha=90.00 beta=90.00 gamma=90.00
Positions (direct):
Nb1 0.144 0.356 0.000
Nb2 0.356 0.856 0.000
Nb3 0.644 0.144 0.000
Nb4 0.856 0.644 0.000
Cu1 0.000 0.000 0.000
Cu2 0.500 0.500 0.000
Sb1 0.155 0.655 0.500
Sb2 0.345 0.155 0.500
Sb3 0.655 0.845 0.500
Sb4 0.845 0.345 0.500

The 8 most intense peaks (10 to 80 degrees two-theta), most intense first:
d (Å), I_rel
2.467, 100
2.316, 36
1.279, 18
1.457, 16
1.875, 12
1.605, 10
5.179, 10
1.726, 8

=====

No. 5
Simulated powder diffraction line list of Mg8Ta for Cu Kα (λ = 1.5418 Å), from a crystal structure in Alexandria, relaxed with PBE.

Atomic structure:
Unit cell a=7.843 b=7.843 c=7.843 alpha=92.53 beta=92.53 gamma=155.75
Positions (direct):
Mg1 0.000 0.327 0.327
Mg2 0.000 0.673 0.673
Mg3 0.327 0.000 0.327
Mg4 0.339 0.339 0.679
Mg5 0.339 0.661 0.000
Mg6 0.661 0.339 0.000
Mg7 0.661 0.661 0.321
Mg8 0.673 0.000 0.673
Ta1 0.000 0.000 0.000

The 8 most intense peaks (10 to 80 degrees two-theta), most intense first:
d (Å), I_rel
7.668, 100
2.435, 75
5.422, 45
2.556, 43
2.726, 31
3.429, 29
1.451, 28
3.153, 23

=====

No. 6
Simulated powder diffraction line list of Ho4AlAg for Cu Kα (λ = 1.5418 Å), from a crystal structure in Alexandria, relaxed with PBE.

Atomic structure:
Unit cell a=11.120 b=11.120 c=6.350 alpha=90.00 beta=90.00 gamma=153.27
Positions (direct):
Ho1 0.064 0.936 0.500
Ho2 0.193 0.807 0.804
Ho3 0.215 0.785 0.319
Ho4 0.375 0.625 0.579
Ho5 0.625 0.375 0.079
Ho6 0.785 0.215 0.819
Ho7 0.807 0.193 0.304
Ho8 0.936 0.064 0.000
Al1 0.340 0.660 0.057
Al2 0.660 0.340 0.557
Ag1 0.070 0.930 0.006
Ag2 0.930 0.070 0.506

The 8 most intense peaks (10 to 80 degrees two-theta), most intense first:
d (Å), I_rel
2.649, 100
2.530, 80
2.570, 66
3.046, 56
5.001, 52
1.964, 32
2.291, 32
3.310, 31

=====

No. 7
Simulated powder diffraction line list of Ac8Os3Br3O for Cu Kα (λ = 1.5418 Å), from a crystal structure in Alexandria, relaxed with PBE.

Atomic structure:
Unit cell a=9.614 b=9.614 c=9.614 alpha=52.82 beta=52.82 gamma=52.82
Positions (direct):
Ac1 0.233 0.233 0.233
Ac2 0.236 0.725 0.725
Ac3 0.275 0.275 0.764
Ac4 0.275 0.764 0.275
Ac5 0.725 0.236 0.725
Ac6 0.725 0.725 0.236
Ac7 0.764 0.275 0.275
Ac8 0.767 0.767 0.767
Os1 0.000 0.000 0.500
Os2 0.000 0.500 0.000
Os3 0.500 0.000 0.000
Br1 0.000 0.500 0.500
Br2 0.500 0.000 0.500
Br3 0.500 0.500 0.000
O1 0.500 0.500 0.500

The 8 most intense peaks (10 to 80 degrees two-theta), most intense first:
d (Å), I_rel
3.178, 100
8.249, 50
2.138, 40
2.557, 30
2.374, 25
1.774, 19
1.923, 19
3.548, 18

=====

No. 8
Simulated powder diffraction line list of Ac2AuS3 for Cu Kα (λ = 1.5418 Å), from a crystal structure in Alexandria, relaxed with PBE.

Atomic structure:
Unit cell a=8.985 b=8.985 c=8.985 alpha=154.25 beta=149.93 gamma=39.99
Positions (direct):
Ac1 0.140 0.140 0.000
Ac2 0.860 0.860 0.000
Au1 0.500 0.500 0.000
S1 0.000 0.500 0.500
S2 0.318 0.318 0.000
S3 0.682 0.682 0.000

The 8 most intense peaks (10 to 80 degrees two-theta), most intense first:
d (Å), I_rel
3.037, 100
3.263, 81
3.591, 78
1.897, 37
2.065, 36
2.331, 29
2.814, 26
2.581, 25

=====

No. 9
Simulated powder diffraction line list of Tl2IrO3 for Cu Kα (λ = 1.5418 Å), from a crystal structure in Alexandria, relaxed with PBE.

Atomic structure:
Unit cell a=6.983 b=6.983 c=6.243 alpha=90.00 beta=90.00 gamma=49.06
Positions (direct):
Tl1 0.041 0.278 0.250
Tl2 0.278 0.041 0.750
Tl3 0.722 0.959 0.250
Tl4 0.959 0.722 0.750
Ir1 0.458 0.542 0.250
Ir2 0.542 0.458 0.750
O1 0.127 0.873 0.250
O2 0.403 0.403 0.000
O3 0.403 0.403 0.500
O4 0.597 0.597 0.000
O5 0.597 0.597 0.500
O6 0.873 0.127 0.750

The 8 most intense peaks (10 to 80 degrees two-theta), most intense first:
d (Å), I_rel
3.420, 100
2.999, 76
2.306, 76
3.121, 63
2.630, 56
1.692, 43
1.752, 28
1.649, 27

=====

No. 10
Simulated powder diffraction line list of CeNbN for Cu Kα (λ = 1.5418 Å), from a crystal structure in Alexandria, relaxed with PBE.

Atomic structure:
Unit cell a=3.240 b=3.240 c=5.671 alpha=90.00 beta=90.00 gamma=120.00
Positions (direct):
Ce1 0.000 0.000 0.000
Nb1 0.667 0.333 0.479
N1 0.333 0.667 0.289

The 8 most intense peaks (10 to 80 degrees two-theta), most intense first:
d (Å), I_rel
2.515, 100
2.835, 27
1.568, 22
1.994, 22
2.806, 20
1.407, 19
1.620, 19
1.362, 14

=====

No. 11
Simulated powder diffraction line list of Ba4CaTi5O15 for Cu Kα (λ = 1.5418 Å), from a crystal structure in Alexandria, relaxed with PBE.

Atomic structure:
Unit cell a=4.007 b=4.007 c=20.027 alpha=90.00 beta=90.00 gamma=90.00
Positions (direct):
Ba1 0.000 0.000 0.101
Ba2 0.000 0.000 0.304
Ba3 0.000 0.000 0.696
Ba4 0.000 0.000 0.899
Ca1 0.000 0.000 0.500
Ti1 0.500 0.500 0.000
Ti2 0.500 0.500 0.202
Ti3 0.500 0.500 0.405
Ti4 0.500 0.500 0.595
Ti5 0.500 0.500 0.798
O1 0.000 0.500 0.000
O2 0.000 0.500 0.203
O3 0.000 0.500 0.408
O4 0.000 0.500 0.592
O5 0.000 0.500 0.797
O6 0.500 0.000 0.000
O7 0.500 0.000 0.203
O8 0.500 0.000 0.408
O9 0.500 0.000 0.592
O10 0.500 0.000 0.797
O11 0.500 0.500 0.101
O12 0.500 0.500 0.304
O13 0.500 0.500 0.500
O14 0.500 0.500 0.696
O15 0.500 0.500 0.899

The 8 most intense peaks (10 to 80 degrees two-theta), most intense first:
d (Å), I_rel
2.833, 100
1.636, 38
2.003, 37
2.313, 24
1.416, 21
1.267, 16
4.006, 13
1.208, 7

=====

No. 12
Simulated powder diffraction line list of OsRh4 for Cu Kα (λ = 1.5418 Å), from a crystal structure in Alexandria, relaxed with PBE.

Atomic structure:
Unit cell a=5.170 b=5.170 c=7.007 alpha=109.01 beta=109.01 gamma=54.47
Positions (direct):
Os1 0.100 0.100 0.199
Os2 0.900 0.900 0.801
Rh1 0.028 0.364 0.901
Rh2 0.232 0.565 0.301
Rh3 0.300 0.305 0.603
Rh4 0.435 0.768 0.699
Rh5 0.495 0.505 0.000
Rh6 0.636 0.972 0.099
Rh7 0.695 0.700 0.397
Rh8 0.835 0.165 0.500

The 8 most intense peaks (10 to 80 degrees two-theta), most intense first:
d (Å), I_rel
2.083, 100
2.195, 26
2.366, 25
1.244, 18
1.366, 17
1.609, 15
4.141, 3
4.389, 3